Structure and computed powder XRD pattern of PrSnBr (a crystal structure in Alexandria, relaxed with GGA-PBE; a wavelength of 1.5418 Å).
Neutral-atom scattering factors, no anomalous dispersion.

Atomic structure:
```
PrSnBr
1.0
8.883 5.129 2.363
-8.883 5.129 2.363
0.000 -10.257 2.363
Pr Sn Br
6 6 6
direct
0.261 0.719 0.325
0.281 0.675 0.739
0.325 0.261 0.719
0.675 0.739 0.281
0.719 0.325 0.261
0.739 0.281 0.675
0.067 0.801 0.521
0.199 0.479 0.933
0.479 0.933 0.199
0.521 0.067 0.801
0.801 0.521 0.067
0.933 0.199 0.479
0.101 0.398 0.303
0.303 0.101 0.398
0.398 0.303 0.101
0.602 0.697 0.899
0.697 0.899 0.602
0.899 0.602 0.697
```

Peak list (10 most intense, 2θ from 15° to 90°, by intensity)
2θ/deg  I (rel.)
28.24  100
34.85  31
35.90  28
44.46  18
34.40  16
29.51  15
37.76  12
27.71  11
42.10  11
62.22  11